[1]
Diffraction record for LuIr. The X-ray diffraction stick pattern is calculated, not measured: it uses DFT lattice parameters and positions (GGA-PBE) and λ = 1.5418 Å (Cu Kα).

Most intense lines, 10° ≤ 2θ ≤ 80°, low angle first:
37.9°, 2.373 Å, intensity 100, (1 1 0); 54.7°, 1.678 Å, intensity 18, (2 0 0); 68.5°, 1.370 Å, intensity 36, (2 1 1)

```
data_LuIr
_symmetry_space_group_name_H-M 'P m -3 m'
_symmetry_Int_Tables_number 221
_symmetry_space_group_name_Hall '-P 4 2 3'
_cell_length_a 3.3557
_cell_length_b 3.3557
_cell_length_c 3.3557
_cell_angle_alpha 90.00
_cell_angle_beta 90.00
_cell_angle_gamma 90.00
loop_
_atom_site_label
_atom_site_type_symbol
_atom_site_fract_x
_atom_site_fract_y
_atom_site_fract_z
_atom_site_occupancy
Lu1 Lu 0.0000 0.0000 0.0000 1
Ir1 Ir 0.5000 0.5000 0.5000 1
```

[2]
Diffraction record for Lu3Ir. The X-ray diffraction stick pattern is calculated, not measured: it uses DFT lattice parameters and positions (GGA-PBE) and λ = 1.5418 Å (Cu Kα).

Most intense lines, 10° ≤ 2θ ≤ 80°, low angle first:
30.4°, 2.936 Å, intensity 41, (2 1 1); 31.9°, 2.806 Å, intensity 57, (2 2 0); 32.9°, 2.725 Å, intensity 87, (1 1 2); 33.0°, 2.711 Å, intensity 63, (0 3 1); 35.0°, 2.561 Å, intensity 100, (2 2 1); 35.4°, 2.535 Å, intensity 67, (1 3 1); 39.1°, 2.304 Å, intensity 43, (2 3 0); 49.9°, 1.826 Å, intensity 42, (1 2 3)

```
data_Lu3Ir
_symmetry_space_group_name_H-M 'P n m a'
_symmetry_Int_Tables_number 62
_symmetry_space_group_name_Hall '-P 2ac 2n'
_cell_length_a 7.1614
_cell_length_b 9.0309
_cell_length_c 6.2351
_cell_angle_alpha 90.00
_cell_angle_beta 90.00
_cell_angle_gamma 90.00
loop_
_atom_site_label
_atom_site_type_symbol
_atom_site_fract_x
_atom_site_fract_y
_atom_site_fract_z
_atom_site_occupancy
Lu1 Lu 0.0350 0.2500 0.1323 1
Lu2 Lu 0.1767 0.0622 0.6710 1
Ir1 Ir 0.1175 0.7500 0.4545 1
```

[3]
Diffraction record for Sr2LuIrO6. The X-ray diffraction stick pattern is calculated, not measured: it uses DFT lattice parameters and positions (GGA-PBE) and λ = 1.5418 Å (Cu Kα).

Most intense lines, 10° ≤ 2θ ≤ 80°, low angle first:
21.7°, 4.093 Å, intensity 22, (1 1 -1); 30.9°, 2.894 Å, intensity 100, (1 1 1); 44.3°, 2.046 Å, intensity 27, (0 0 4); 54.9°, 1.672 Å, intensity 31, (2 0 2); 55.1°, 1.667 Å, intensity 11, (3 1 -5); 64.5°, 1.445 Å, intensity 8, (2 2 -6); 73.0°, 1.295 Å, intensity 8, (1 1 5); 73.2°, 1.293 Å, intensity 9, (1 1 -7)

```
data_Sr2LuIrO6
_symmetry_space_group_name_H-M 'P 1 21/c 1'
_symmetry_Int_Tables_number 14
_symmetry_space_group_name_Hall '-P 2ybc'
_cell_length_a 5.7786
_cell_length_b 5.7946
_cell_length_c 10.0068
_cell_angle_alpha 90.00
_cell_angle_beta 125.07
_cell_angle_gamma 90.00
loop_
_atom_site_label
_atom_site_type_symbol
_atom_site_fract_x
_atom_site_fract_y
_atom_site_fract_z
_atom_site_occupancy
Sr1 Sr 0.2450 0.0264 0.2497 1
Lu1 Lu 0.5000 0.0000 0.0000 1
Ir1 Ir 0.0000 0.0000 0.5000 1
O1 O 0.1730 0.2290 0.9667 1
O2 O 0.2395 0.7078 0.9691 1
O3 O 0.2994 0.0126 0.7390 1
```

[4]
Diffraction record for Lu2IrPd. The X-ray diffraction stick pattern is calculated, not measured: it uses DFT lattice parameters and positions (GGA-PBE) and λ = 1.5418 Å (Cu Kα).

Most intense lines, 10° ≤ 2θ ≤ 80°, low angle first:
22.7°, 3.921 Å, intensity 4, (1 1 1); 26.2°, 3.395 Å, intensity 1, (2 0 0); 37.5°, 2.401 Å, intensity 100, (2 2 0); 44.2°, 2.047 Å, intensity 2, (3 1 1); 54.0°, 1.698 Å, intensity 18, (4 0 0); 59.3°, 1.558 Å, intensity 1, (3 3 1); 67.6°, 1.386 Å, intensity 36, (4 2 2); 79.9°, 1.200 Å, intensity 11, (4 4 0)

```
data_Lu2IrPd
_symmetry_space_group_name_H-M 'F m -3 m'
_symmetry_Int_Tables_number 225
_symmetry_space_group_name_Hall '-F 4 2 3'
_cell_length_a 6.7907
_cell_length_b 6.7907
_cell_length_c 6.7907
_cell_angle_alpha 90.00
_cell_angle_beta 90.00
_cell_angle_gamma 90.00
loop_
_atom_site_label
_atom_site_type_symbol
_atom_site_fract_x
_atom_site_fract_y
_atom_site_fract_z
_atom_site_occupancy
Lu1 Lu 0.2500 0.2500 0.2500 1
Ir1 Ir 0.0000 0.0000 0.0000 1
Pd1 Pd 0.0000 0.0000 0.5000 1
```

[5]
Diffraction record for Lu5Sc5Si20Ir8. The X-ray diffraction stick pattern is calculated, not measured: it uses DFT lattice parameters and positions (GGA-PBE) and λ = 1.5418 Å (Cu Kα).

Most intense lines, 10° ≤ 2θ ≤ 80°, low angle first:
15.9°, 5.585 Å, intensity 42, (0 1 3); 20.1°, 4.415 Å, intensity 61, (0 0 4); 29.5°, 3.030 Å, intensity 85, (1 4 0); 35.9°, 2.498 Å, intensity 100, (1 4 4); 36.7°, 2.450 Å, intensity 57, (1 3 5); 43.4°, 2.083 Å, intensity 41, (2 0 0); 46.0°, 1.975 Å, intensity 38, (0 8 4); 46.6°, 1.951 Å, intensity 38, (0 1 9)

```
data_Lu5Sc5Si20Ir8
_symmetry_space_group_name_H-M 'A m m 2'
_symmetry_Int_Tables_number 38
_symmetry_space_group_name_Hall 'A 2 -2'
_cell_length_a 4.1662
_cell_length_b 17.6597
_cell_length_c 17.6617
_cell_angle_alpha 90.00
_cell_angle_beta 90.00
_cell_angle_gamma 90.00
loop_
_atom_site_label
_atom_site_type_symbol
_atom_site_fract_x
_atom_site_fract_y
_atom_site_fract_z
_atom_site_occupancy
Lu1 Lu 0.0000 0.0000 0.0000 1
Lu2 Lu 0.0000 0.0000 0.2103 1
Lu3 Lu 0.0000 0.0000 0.6515 1
Lu4 Lu 0.0000 0.1750 0.3263 1
Sc1 Sc 0.0000 0.0000 0.4422 1
Sc2 Sc 0.0000 0.1164 0.8260 1
Sc3 Sc 0.5000 0.2500 0.0760 1
Si1 Si 0.0000 0.1726 0.0014 1
Si2 Si 0.0000 0.1726 0.6506 1
Si3 Si 0.0000 0.1762 0.1533 1
Si4 Si 0.0000 0.1755 0.4987 1
Si5 Si 0.5000 0.0000 0.7607 1
Si6 Si 0.5000 0.0000 0.8912 1
Si7 Si 0.5000 0.0656 0.3267 1
Si8 Si 0.5000 0.0673 0.0939 1
Si9 Si 0.5000 0.0671 0.5574 1
Si10 Si 0.5000 0.2310 0.7590 1
Si11 Si 0.5000 0.2312 0.8931 1
Ir1 Ir 0.5000 0.1172 0.6887 1
Ir2 Ir 0.5000 0.1173 0.9630 1
Ir3 Ir 0.5000 0.1375 0.4436 1
Ir4 Ir 0.5000 0.1376 0.2085 1
```

[6]
Diffraction record for Lu3Si13Ir4. The X-ray diffraction stick pattern is calculated, not measured: it uses DFT lattice parameters and positions (GGA-PBE) and λ = 1.5418 Å (Cu Kα).

Most intense lines, 10° ≤ 2θ ≤ 80°, low angle first:
20.4°, 4.352 Å, intensity 64, (2 0 0); 22.8°, 3.893 Å, intensity 56, (2 1 0); 29.0°, 3.077 Å, intensity 47, (2 2 0); 35.7°, 2.513 Å, intensity 100, (2 2 2); 37.2°, 2.414 Å, intensity 51, (3 2 0); 41.5°, 2.176 Å, intensity 63, (4 0 0); 51.4°, 1.777 Å, intensity 37, (4 2 2); 72.0°, 1.312 Å, intensity 45, (6 2 2)

```
data_Lu3Si13Ir4
_symmetry_space_group_name_H-M 'P m -3 n'
_symmetry_Int_Tables_number 223
_symmetry_space_group_name_Hall '-P 4n 2 3'
_cell_length_a 8.7043
_cell_length_b 8.7043
_cell_length_c 8.7043
_cell_angle_alpha 90.00
_cell_angle_beta 90.00
_cell_angle_gamma 90.00
loop_
_atom_site_label
_atom_site_type_symbol
_atom_site_fract_x
_atom_site_fract_y
_atom_site_fract_z
_atom_site_occupancy
Lu1 Lu 0.0000 0.2500 0.5000 1
Si1 Si 0.0000 0.0000 0.0000 1
Si2 Si 0.0000 0.2976 0.1382 1
Ir1 Ir 0.2500 0.2500 0.2500 1
```

[7]
Diffraction record for Lu2Si5Ir3. The X-ray diffraction stick pattern is calculated, not measured: it uses DFT lattice parameters and positions (GGA-PBE) and λ = 1.5418 Å (Cu Kα).

Most intense lines, 10° ≤ 2θ ≤ 80°, low angle first:
25.2°, 3.539 Å, intensity 44, (1 3 0); 27.8°, 3.207 Å, intensity 27, (3 1 0); 33.3°, 2.693 Å, intensity 33, (1 1 2); 34.8°, 2.576 Å, intensity 100, (3 2 1); 35.9°, 2.500 Å, intensity 37, (2 0 2); 36.4°, 2.469 Å, intensity 34, (2 4 0); 44.8°, 2.023 Å, intensity 62, (0 4 2); 48.1°, 1.892 Å, intensity 28, (0 6 0)

```
data_Lu2Si5Ir3
_symmetry_space_group_name_H-M 'I b a m'
_symmetry_Int_Tables_number 72
_symmetry_space_group_name_Hall '-I 2 2c'
_cell_length_a 10.0284
_cell_length_b 11.3488
_cell_length_c 5.7689
_cell_angle_alpha 90.00
_cell_angle_beta 90.00
_cell_angle_gamma 90.00
loop_
_atom_site_label
_atom_site_type_symbol
_atom_site_fract_x
_atom_site_fract_y
_atom_site_fract_z
_atom_site_occupancy
Lu1 Lu 0.2279 0.1313 0.0000 1
Si1 Si 0.0000 0.0000 0.2500 1
Si2 Si 0.0000 0.2745 0.2500 1
Si3 Si 0.1559 0.3939 0.0000 1
Ir1 Ir 0.0000 0.5000 0.2500 1
Ir2 Ir 0.1161 0.1401 0.5000 1
```

[8]
Diffraction record for Lu5Si10Ir4. The X-ray diffraction stick pattern is calculated, not measured: it uses DFT lattice parameters and positions (GGA-PBE) and λ = 1.5418 Å (Cu Kα).

Most intense lines, 10° ≤ 2θ ≤ 80°, low angle first:
22.4°, 3.970 Å, intensity 26, (3 1 0); 23.4°, 3.804 Å, intensity 22, (1 1 1); 29.2°, 3.054 Å, intensity 33, (2 2 1); 35.7°, 2.516 Å, intensity 100, (4 0 1); 36.4°, 2.466 Å, intensity 44, (4 1 1); 37.1°, 2.421 Å, intensity 30, (3 3 1); 40.7°, 2.219 Å, intensity 25, (4 4 0); 43.0°, 2.105 Å, intensity 32, (0 0 2)

```
data_Lu5Si10Ir4
_symmetry_space_group_name_H-M 'P 4/m b m'
_symmetry_Int_Tables_number 127
_symmetry_space_group_name_Hall '-P 4 2ab'
_cell_length_a 12.5534
_cell_length_b 12.5534
_cell_length_c 4.2100
_cell_angle_alpha 90.00
_cell_angle_beta 90.00
_cell_angle_gamma 90.00
loop_
_atom_site_label
_atom_site_type_symbol
_atom_site_fract_x
_atom_site_fract_y
_atom_site_fract_z
_atom_site_occupancy
Lu1 Lu 0.0000 0.0000 0.0000 1
Lu2 Lu 0.1155 0.3845 0.5000 1
Lu3 Lu 0.1743 0.6743 0.5000 1
Si1 Si 0.0036 0.8452 0.5000 1
Si2 Si 0.0658 0.5658 0.0000 1
Si3 Si 0.1650 0.2009 0.0000 1
Ir1 Ir 0.0197 0.7544 0.0000 1
```

[9]
Diffraction record for TbLuIr2. The X-ray diffraction stick pattern is calculated, not measured: it uses DFT lattice parameters and positions (GGA-PBE) and λ = 1.5418 Å (Cu Kα).

Most intense lines, 10° ≤ 2θ ≤ 80°, low angle first:
26.2°, 3.402 Å, intensity 1, (2 0 0); 37.4°, 2.406 Å, intensity 100, (2 2 0); 53.9°, 1.701 Å, intensity 18, (4 0 0); 67.4°, 1.389 Å, intensity 36, (4 2 2); 79.7°, 1.203 Å, intensity 11, (4 4 0)

```
data_TbLuIr2
_symmetry_space_group_name_H-M 'F m -3 m'
_symmetry_Int_Tables_number 225
_symmetry_space_group_name_Hall '-F 4 2 3'
_cell_length_a 6.8043
_cell_length_b 6.8043
_cell_length_c 6.8043
_cell_angle_alpha 90.00
_cell_angle_beta 90.00
_cell_angle_gamma 90.00
loop_
_atom_site_label
_atom_site_type_symbol
_atom_site_fract_x
_atom_site_fract_y
_atom_site_fract_z
_atom_site_occupancy
Tb1 Tb 0.0000 0.0000 0.0000 1
Lu1 Lu 0.0000 0.0000 0.5000 1
Ir1 Ir 0.2500 0.2500 0.2500 1
```

[10]
Diffraction record for Lu2ZnIr. The X-ray diffraction stick pattern is calculated, not measured: it uses DFT lattice parameters and positions (GGA-PBE) and λ = 1.5418 Å (Cu Kα).

Most intense lines, 10° ≤ 2θ ≤ 80°, low angle first:
22.6°, 3.942 Å, intensity 9, (1 1 1); 26.1°, 3.414 Å, intensity 3, (2 0 0); 37.3°, 2.414 Å, intensity 100, (2 2 0); 44.0°, 2.059 Å, intensity 5, (3 1 1); 53.7°, 1.707 Å, intensity 18, (4 0 0); 59.0°, 1.566 Å, intensity 2, (3 3 1); 67.2°, 1.394 Å, intensity 36, (4 2 2); 79.4°, 1.207 Å, intensity 11, (4 4 0)

```
data_Lu2ZnIr
_symmetry_space_group_name_H-M 'F m -3 m'
_symmetry_Int_Tables_number 225
_symmetry_space_group_name_Hall '-F 4 2 3'
_cell_length_a 6.8274
_cell_length_b 6.8274
_cell_length_c 6.8274
_cell_angle_alpha 90.00
_cell_angle_beta 90.00
_cell_angle_gamma 90.00
loop_
_atom_site_label
_atom_site_type_symbol
_atom_site_fract_x
_atom_site_fract_y
_atom_site_fract_z
_atom_site_occupancy
Lu1 Lu 0.2500 0.2500 0.2500 1
Zn1 Zn 0.0000 0.0000 0.0000 1
Ir1 Ir 0.0000 0.0000 0.5000 1
```

[11]
Diffraction record for MgIr2. The X-ray diffraction stick pattern is calculated, not measured: it uses DFT lattice parameters and positions (GGA-PBE) and λ = 1.5418 Å (Cu Kα).

Most intense lines, 10° ≤ 2θ ≤ 80°, low angle first:
19.7°, 4.514 Å, intensity 71, (1 0 0); 21.0°, 4.227 Å, intensity 43, (0 0 2); 22.3°, 3.982 Å, intensity 47, (1 0 1); 40.7°, 2.218 Å, intensity 68, (1 1 2); 41.4°, 2.181 Å, intensity 100, (2 0 1); 42.8°, 2.113 Å, intensity 33, (0 0 4); 45.6°, 1.991 Å, intensity 61, (2 0 2); 51.9°, 1.762 Å, intensity 41, (2 0 3)

```
data_MgIr2
_symmetry_space_group_name_H-M 'P 63/m m c'
_symmetry_Int_Tables_number 194
_symmetry_space_group_name_Hall '-P 6c 2c'
_cell_length_a 5.2125
_cell_length_b 5.2125
_cell_length_c 8.4530
_cell_angle_alpha 90.00
_cell_angle_beta 90.00
_cell_angle_gamma 120.00
loop_
_atom_site_label
_atom_site_type_symbol
_atom_site_fract_x
_atom_site_fract_y
_atom_site_fract_z
_atom_site_occupancy
Mg1 Mg 0.3333 0.6667 0.0694 1
Ir1 Ir 0.0000 0.0000 0.0000 1
Ir2 Ir 0.1719 0.3437 0.7500 1
```